[1]
This entry pairs a crystal structure of Te2Ir with its simulated X-ray diffraction stick pattern. Radiation: CuKα. Structure: a crystal structure in OQMD, relaxed with PBE.
Lines closer than 0.1° are merged.

Structure:
Cell: 4.0065 6.7367 14.6218 Å, 98.17 92.59 107.20°
Space group P1 (No. 1)
Asymmetric unit:
1 Te 0.0000 0.0000 0.0000 [1 per cell]
2 Te 0.0192 0.8222 0.6354 [1 per cell]
3 Te 0.1624 0.2489 0.2283 [1 per cell]
4 Te 0.2755 0.3528 0.5964 [1 per cell]
5 Te 0.4187 0.7792 0.1885 [1 per cell]
6 Te 0.4389 0.6016 0.8236 [1 per cell]
7 Te 0.5859 0.0310 0.4296 [1 per cell]
8 Te 0.7038 0.1394 0.7991 [1 per cell]
9 Te 0.7342 0.4624 0.0249 [1 per cell]
10 Te 0.8508 0.5699 0.3948 [1 per cell]
11 Ir 0.0814 0.8698 0.8237 [1 per cell]
12 Ir 0.2184 0.3007 0.4123 [1 per cell]
13 Ir 0.3581 0.7317 0.0002 [1 per cell]
14 Ir 0.6474 0.0866 0.6154 [1 per cell]
15 Ir 0.7904 0.5149 0.2088 [1 per cell]

Principal peaks in the range 2θ = 10–80°, in order of rising 2θ:
2θ = 16.14°, I 99, hkl 0 1 1
2θ = 30.55°, I 100, hkl 1 1 -1
2θ = 30.80°, I 75, hkl 1 -2 1
2θ = 31.03°, I 95, hkl 0 0 5
2θ = 41.34°, I 23, hkl -1 2 4
2θ = 42.30°, I 60, hkl 1 2 0
2θ = 42.51°, I 21, hkl 0 3 -2
2θ = 42.76°, I 23, hkl 1 1 4
2θ = 45.37°, I 67, hkl 1 1 -6
2θ = 47.07°, I 22, hkl 1 -2 6


[2]
This entry pairs a crystal structure of Ta2Fe3W4C3 with its simulated X-ray diffraction stick pattern. Radiation: CuKα. Structure: a crystal structure in OQMD, relaxed with PBE.
Lines closer than 0.1° are merged.

Structure:
Cell: 8.9972 5.1771 13.4169 Å, 90.00 103.15 90.00°
Space group C2/c (No. 15)
Asymmetric unit:
1 Ta 0.0414 0.0836 0.3782 [8 per cell]
2 Fe 0.0000 0.4155 0.7500 [4 per cell]
3 Fe 0.2493 0.1632 0.7510 [8 per cell]
4 W 0.1121 0.4097 0.5892 [8 per cell]
5 W 0.2232 0.4182 0.9110 [8 per cell]
6 C 0.0783 0.2345 0.0002 [8 per cell]
7 C 0.2500 0.2500 0.5000 [4 per cell]

Principal peaks in the range 2θ = 10–80°, in order of rising 2θ:
2θ = 13.56°, I 15, hkl 0 0 2
2θ = 27.30°, I 30, hkl 0 0 4
2θ = 34.59°, I 32, hkl 3 1 -1
2θ = 35.26°, I 43, hkl 3 1 -2
2θ = 35.35°, I 22, hkl 0 2 1
2θ = 40.40°, I 50, hkl 3 1 -4
2θ = 40.54°, I 100, hkl 0 2 3
2θ = 41.47°, I 23, hkl 0 0 6
2θ = 44.67°, I 19, hkl 3 1 3
2θ = 62.05°, I 19, hkl 3 3 -1


[3]
This entry pairs a crystal structure of YScAl2Pd4 with its simulated X-ray diffraction stick pattern. Radiation: CuKα. Structure: a crystal structure in OQMD, relaxed with PBE.
Lines closer than 0.1° are merged.

Structure:
Cell: 4.3168 4.3168 8.9646 Å, 90.00 90.00 120.00°
Space group P-6m2 (No. 187)
Asymmetric unit:
1 Y 0.0000 0.0000 0.0000 [1 per cell]
2 Sc 0.3333 0.6667 0.5000 [1 per cell]
3 Al 0.6667 0.3333 0.2617 [2 per cell]
4 Pd 0.0000 0.0000 0.3408 [2 per cell]
5 Pd 0.3333 0.6667 0.1767 [2 per cell]

Principal peaks in the range 2θ = 10–80°, in order of rising 2θ:
2θ = 19.81°, I 8, hkl 0 0 2
2θ = 23.80°, I 41, hkl 1 0 0
2θ = 38.57°, I 100, hkl 1 0 3
2θ = 41.85°, I 64, hkl 1 1 0
2θ = 48.71°, I 6, hkl 2 0 0
2θ = 58.22°, I 29, hkl 2 0 3
2θ = 67.51°, I 8, hkl 1 0 6
2θ = 74.24°, I 28, hkl 2 1 3
2θ = 76.43°, I 10, hkl 3 0 0
2θ = 77.74°, I 13, hkl 1 1 6


[4]
This entry pairs a crystal structure of Sm4BBr3Cl2 with its simulated X-ray diffraction stick pattern. Radiation: CuKα. Structure: a crystal structure in OQMD, relaxed with PBE.
Lines closer than 0.1° are merged.

Structure:
Cell: 18.2116 3.9865 8.3156 Å, 90.00 103.34 90.00°
Space group C2/m (No. 12)
Asymmetric unit:
1 Sm 0.9999 0.0000 0.2126 [4 per cell]
2 Sm 0.1446 0.5000 0.0806 [4 per cell]
3 B 0.0000 0.5000 0.0000 [2 per cell]
4 Br 0.0000 0.5000 0.5000 [2 per cell]
5 Br 0.1710 0.0000 0.8314 [4 per cell]
6 Cl 0.1597 0.0000 0.3225 [4 per cell]

Principal peaks in the range 2θ = 10–80°, in order of rising 2θ:
2θ = 10.93°, I 67, hkl 0 0 1
2θ = 30.26°, I 46, hkl 6 0 0
2θ = 30.51°, I 18, hkl 3 1 1
2θ = 31.08°, I 100, hkl 1 1 -2
2θ = 33.21°, I 19, hkl 6 0 -2
2θ = 33.74°, I 18, hkl 5 1 -1
2θ = 39.70°, I 22, hkl 6 0 -3
2θ = 43.54°, I 16, hkl 2 0 -4
2θ = 43.93°, I 59, hkl 5 1 2
2θ = 45.51°, I 18, hkl 0 2 0